Theoretical powder diffractogram of NaPrCoH6 for Cu Kα (λ = 1.5418 Å), from the GGA-PBE geometry in Alexandria.
Intensities are scaled so that the largest is 1000.

Most intense lines, 10° ≤ 2θ ≤ 80°, low angle first:
d = 4.148 Å, intensity 423; d = 2.961 Å, intensity 1000; d = 2.395 Å, intensity 481; d = 1.884 Å, intensity 274; d = 1.862 Å, intensity 275; d = 1.470 Å, intensity 235

Structural model:
a = 4.7897 Å, b = 4.7897 Å, c = 4.2290 Å
α = 90.00°, β = 90.00°, γ = 120.00°
Space group P3m1 (No. 156)
One atom of each set of equivalent atoms:
Na1 0.0000 0.0000 0.0000 [1 per cell]
Pr1 0.3333 0.6667 0.5123 [1 per cell]
Co1 0.6667 0.3333 0.2226 [1 per cell]
H1 0.3548 0.1774 0.4442 [3 per cell]
H2 0.5031 0.0063 0.0168 [3 per cell]

***

Theoretical powder diffractogram of NaSrCoH6 for Cu Kα (λ = 1.5418 Å), from the GGA-PBE geometry in Alexandria.
Intensities are scaled so that the largest is 1000.

Most intense lines, 10° ≤ 2θ ≤ 80°, low angle first:
d = 4.234 Å, intensity 226; d = 3.069 Å, intensity 1000; d = 2.445 Å, intensity 510; d = 1.972 Å, intensity 266; d = 1.912 Å, intensity 266; d = 1.506 Å, intensity 222

Structural model:
a = 4.8893 Å, b = 4.8893 Å, c = 4.4556 Å
α = 90.00°, β = 90.00°, γ = 120.00°
Space group P3m1 (No. 156)
One atom of each set of equivalent atoms:
Na1 0.0000 0.0000 0.0000 [1 per cell]
Sr1 0.3333 0.6667 0.5106 [1 per cell]
Co1 0.6667 0.3333 0.8174 [1 per cell]
H1 0.3716 0.1858 0.6122 [3 per cell]
H2 0.5143 0.0287 0.0151 [3 per cell]

***

Theoretical powder diffractogram of Na2SrCoH6 for Cu Kα (λ = 1.5418 Å), from the GGA-PBE geometry in Alexandria.
Intensities are scaled so that the largest is 1000.

Most intense lines, 10° ≤ 2θ ≤ 80°, low angle first:
d = 4.412 Å, intensity 1000; d = 3.089 Å, intensity 216; d = 2.547 Å, intensity 550; d = 2.530 Å, intensity 595; d = 1.965 Å, intensity 359; d = 1.795 Å, intensity 214

Structural model:
a = 5.0944 Å, b = 5.0944 Å, c = 6.1783 Å
α = 90.00°, β = 90.00°, γ = 120.00°
Space group P-3m1 (No. 164)
One atom of each set of equivalent atoms:
Na1 0.3333 0.6667 0.0978 [2 per cell]
Sr1 0.0000 0.0000 0.5000 [1 per cell]
Co1 0.0000 0.0000 0.0000 [1 per cell]
H1 0.1417 0.2834 0.8495 [6 per cell]

***

Theoretical powder diffractogram of Na2TlCoH6 for Cu Kα (λ = 1.5418 Å), from the GGA-PBE geometry in Alexandria.
Intensities are scaled so that the largest is 1000.

Most intense lines, 10° ≤ 2θ ≤ 80°, low angle first:
d = 4.357 Å, intensity 1000; d = 3.624 Å, intensity 528; d = 3.265 Å, intensity 215; d = 2.613 Å, intensity 614; d = 2.515 Å, intensity 401; d = 1.993 Å, intensity 328

Structural model:
a = 5.0309 Å, b = 5.0309 Å, c = 6.5304 Å
α = 90.00°, β = 90.00°, γ = 120.00°
Space group P-3m1 (No. 164)
One atom of each set of equivalent atoms:
Na1 0.3333 0.6667 0.0987 [2 per cell]
Tl1 0.0000 0.0000 0.5000 [1 per cell]
Co1 0.0000 0.0000 0.0000 [1 per cell]
H1 0.1433 0.2866 0.8581 [6 per cell]

***

Theoretical powder diffractogram of NaZnCoH6 for Cu Kα (λ = 1.5418 Å), from the GGA-PBE geometry in Alexandria.
Intensities are scaled so that the largest is 1000.

Most intense lines, 10° ≤ 2θ ≤ 80°, low angle first:
d = 4.823 Å, intensity 819; d = 2.999 Å, intensity 1000; d = 2.411 Å, intensity 243; d = 2.211 Å, intensity 588; d = 2.010 Å, intensity 428; d = 1.630 Å, intensity 453

Structural model:
a = 4.4223 Å, b = 4.4223 Å, c = 4.8228 Å
α = 90.00°, β = 90.00°, γ = 120.00°
Space group P312 (No. 149)
One atom of each set of equivalent atoms:
Na1 0.0000 0.0000 0.0000 [1 per cell]
Zn1 0.6667 0.3333 0.5000 [1 per cell]
Co1 0.3333 0.6667 0.5000 [1 per cell]
H1 0.0524 0.4052 0.2991 [6 per cell]

***

Theoretical powder diffractogram of NbCoH for Cu Kα (λ = 1.5418 Å), from the GGA-PBE geometry in Alexandria.
Intensities are scaled so that the largest is 1000.

Most intense lines, 10° ≤ 2θ ≤ 80°, low angle first:
d = 2.470 Å, intensity 1000; d = 2.413 Å, intensity 269; d = 2.192 Å, intensity 304; d = 2.001 Å, intensity 379; d = 1.807 Å, intensity 400; d = 1.446 Å, intensity 201

Structural model:
a = 3.6136 Å, b = 3.6136 Å, c = 19.3057 Å
α = 90.00°, β = 90.00°, γ = 90.00°
Space group I4_1/amd (No. 141, origin choice 2)
One atom of each set of equivalent atoms:
Nb1 0.0000 0.2500 0.0743 [8 per cell]
Co1 0.0000 0.2500 0.2059 [8 per cell]
H1 0.0000 0.2500 0.7845 [8 per cell]

***

Theoretical powder diffractogram of NbCo3H for Cu Kα (λ = 1.5418 Å), from the GGA-PBE geometry in Alexandria.
Intensities are scaled so that the largest is 1000.

Most intense lines, 10° ≤ 2θ ≤ 80°, low angle first:
d = 2.256 Å, intensity 617; d = 2.108 Å, intensity 847; d = 2.049 Å, intensity 635; d = 2.009 Å, intensity 596; d = 1.998 Å, intensity 979; d = 1.980 Å, intensity 1000

Structural model:
a = 9.2579 Å, b = 5.1666 Å, c = 4.2177 Å
α = 90.00°, β = 91.32°, γ = 90.00°
Space group C2/m (No. 12)
One atom of each set of equivalent atoms:
Nb1 0.1796 0.0000 0.2383 [4 per cell]
Co1 0.0795 0.2554 0.7473 [8 per cell]
Co2 0.1588 0.5000 0.2518 [4 per cell]
H1 0.0000 0.0000 0.5000 [2 per cell]
H2 0.0000 0.5000 0.0000 [2 per cell]

***

Theoretical powder diffractogram of NbCo3H for Cu Kα (λ = 1.5418 Å), from the GGA-PBE geometry in Alexandria.
Intensities are scaled so that the largest is 1000.

Most intense lines, 10° ≤ 2θ ≤ 80°, low angle first:
d = 3.097 Å, intensity 73; d = 2.278 Å, intensity 248; d = 2.111 Å, intensity 267; d = 2.005 Å, intensity 1000; d = 1.548 Å, intensity 140; d = 1.315 Å, intensity 150

Structural model:
a = 5.2609 Å, b = 5.2609 Å, c = 4.2221 Å
α = 90.00°, β = 90.00°, γ = 120.00°
Space group P3m1 (No. 156)
One atom of each set of equivalent atoms:
Nb1 0.0000 0.0000 0.0000 [1 per cell]
Nb2 0.3333 0.6667 0.5066 [1 per cell]
Co1 0.3410 0.1705 0.5039 [3 per cell]
Co2 0.5123 0.0246 0.9983 [3 per cell]
H1 0.3333 0.6667 0.0141 [1 per cell]
H2 0.6667 0.3333 0.2793 [1 per cell]

***

Theoretical powder diffractogram of NbCoH for Cu Kα (λ = 1.5418 Å), from the GGA-PBE geometry in Alexandria.
Intensities are scaled so that the largest is 1000.

Most intense lines, 10° ≤ 2θ ≤ 80°, low angle first:
d = 2.447 Å, intensity 268; d = 2.235 Å, intensity 242; d = 2.146 Å, intensity 1000; d = 1.650 Å, intensity 165; d = 1.413 Å, intensity 162; d = 1.273 Å, intensity 167

Structural model:
a = 2.8252 Å, b = 2.8252 Å, c = 4.4704 Å
α = 90.00°, β = 90.00°, γ = 120.00°
Space group P3m1 (No. 156)
One atom of each set of equivalent atoms:
Nb1 0.0000 0.0000 0.0000 [1 per cell]
Co1 0.6667 0.3333 0.4820 [1 per cell]
H1 0.3333 0.6667 0.6750 [1 per cell]

***

Theoretical powder diffractogram of NbZnCo2H for Cu Kα (λ = 1.5418 Å), from the GGA-PBE geometry in Alexandria.
Intensities are scaled so that the largest is 1000.

Most intense lines, 10° ≤ 2θ ≤ 80°, low angle first:
d = 3.820 Å, intensity 22; d = 2.197 Å, intensity 1000; d = 1.910 Å, intensity 163; d = 1.898 Å, intensity 319; d = 1.346 Å, intensity 192; d = 1.342 Å, intensity 95

Structural model:
a = 3.7967 Å, b = 3.7967 Å, c = 3.8202 Å
α = 90.00°, β = 90.00°, γ = 90.00°
Space group P4/mmm (No. 123)
One atom of each set of equivalent atoms:
Nb1 0.0000 0.0000 0.0000 [1 per cell]
Zn1 0.5000 0.5000 0.0000 [1 per cell]
Co1 0.0000 0.5000 0.5000 [2 per cell]
H1 0.0000 0.0000 0.5000 [1 per cell]

***

Theoretical powder diffractogram of Nd4Co2H for Cu Kα (λ = 1.5418 Å), from the GGA-PBE geometry in Alexandria.
Intensities are scaled so that the largest is 1000.

Most intense lines, 10° ≤ 2θ ≤ 80°, low angle first:
d = 3.074 Å, intensity 727; d = 2.956 Å, intensity 978; d = 2.780 Å, intensity 615; d = 2.772 Å, intensity 1000; d = 2.530 Å, intensity 335; d = 1.921 Å, intensity 334

Structural model:
a = 14.0767 Å, b = 3.8426 Å, c = 6.0130 Å
α = 90.00°, β = 100.26°, γ = 90.00°
Space group C2/m (No. 12)
One atom of each set of equivalent atoms:
Nd1 0.0818 0.0000 0.2756 [4 per cell]
Nd2 0.1563 0.5000 0.8152 [4 per cell]
Co1 0.2362 0.5000 0.3825 [4 per cell]
H1 0.0000 0.5000 0.0000 [2 per cell]

***

Theoretical powder diffractogram of Co3Ni2H4 for Cu Kα (λ = 1.5418 Å), from the GGA-PBE geometry in Alexandria.
Intensities are scaled so that the largest is 1000.

Most intense lines, 10° ≤ 2θ ≤ 80°, low angle first:
d = 2.200 Å, intensity 409; d = 2.134 Å, intensity 506; d = 2.071 Å, intensity 959; d = 1.900 Å, intensity 1000; d = 1.395 Å, intensity 152; d = 1.298 Å, intensity 292

Structural model:
a = 2.5956 Å, b = 2.5956 Å, c = 10.6685 Å
α = 90.00°, β = 90.00°, γ = 120.00°
Space group P-3m1 (No. 164)
One atom of each set of equivalent atoms:
Co1 0.0000 0.0000 0.0000 [1 per cell]
Co2 0.3333 0.6667 0.5904 [2 per cell]
Ni1 0.3333 0.6667 0.2052 [2 per cell]
H1 0.0000 0.0000 0.3014 [2 per cell]
H2 0.3333 0.6667 0.9030 [2 per cell]